1.
This entry pairs a crystal structure of Ho3B2Rh9Au with its calculated X-ray powder pattern. Radiation: Cu Kα X-rays. Structure: a crystal structure in Alexandria, relaxed with GGA-PBE.
Kinematic intensities with the Lorentz-polarization factor, no thermal factor.

Largest 8 diffraction maxima, by intensity, 2θ from 10° to 80°:
2theta, I/Imax
41.3, 100
37.2, 78
64.2, 36
26.8, 22
40.6, 20
47.5, 20
78.8, 17
30.2, 17

Crystal structure
Cell: 5.801 5.801 8.881 Å, 90.00 90.00 120.00°
Atoms (fractional coordinates):
Ho 0.000 0.000 0.000
Ho 0.333 0.667 0.683
Ho 0.667 0.333 0.317
B 0.333 0.667 0.145
B 0.667 0.333 0.855
Rh 0.000 0.500 0.000
Rh 0.161 0.322 0.264
Rh 0.161 0.839 0.264
Rh 0.322 0.161 0.736
Rh 0.500 0.000 0.000
Rh 0.500 0.500 0.000
Rh 0.678 0.839 0.264
Rh 0.839 0.161 0.736
Rh 0.839 0.678 0.736
Au 0.000 0.000 0.500

***

2.
This entry pairs a crystal structure of Dy4In2Ru with its calculated X-ray powder pattern. Radiation: Cu Kα X-rays. Structure: a crystal structure in Alexandria, relaxed with GGA-PBE.
Kinematic intensities with the Lorentz-polarization factor, no thermal factor.

Largest 8 diffraction maxima, by intensity, 2θ from 10° to 80°:
2theta, I/Imax
29.4, 100
32.8, 80
52.2, 60
34.1, 59
34.8, 47
40.6, 46
29.6, 46
33.1, 38

Crystal structure
Cell: 6.541 3.501 9.151 Å, 90.00 109.70 90.00°
Atoms (fractional coordinates):
Dy 0.119 0.000 0.253
Dy 0.333 0.500 0.650
Dy 0.667 0.500 0.350
Dy 0.881 0.000 0.747
In 0.270 0.500 0.001
In 0.730 0.500 0.999
Ru 0.000 0.000 0.500

***

3.
This entry pairs a crystal structure of Tb6Se8I with its calculated X-ray powder pattern. Radiation: Cu Kα X-rays. Structure: a crystal structure in Alexandria, relaxed with GGA-PBE.
Kinematic intensities with the Lorentz-polarization factor, no thermal factor.

Largest 8 diffraction maxima, by intensity, 2θ from 10° to 80°:
2theta, I/Imax
32.3, 100
38.4, 80
24.0, 67
23.1, 54
28.0, 35
42.3, 30
45.8, 27
33.0, 27

Crystal structure
Cell: 11.314 11.314 4.186 Å, 90.00 90.00 120.00°
Atoms (fractional coordinates):
Tb 0.139 0.669 0.253
Tb 0.331 0.470 0.253
Tb 0.470 0.139 0.747
Tb 0.530 0.861 0.253
Tb 0.669 0.530 0.747
Tb 0.861 0.331 0.747
Se 0.048 0.381 0.246
Se 0.333 0.667 0.752
Se 0.333 0.952 0.246
Se 0.381 0.333 0.754
Se 0.619 0.667 0.246
Se 0.667 0.048 0.754
Se 0.667 0.333 0.248
Se 0.952 0.619 0.754
I 0.000 0.000 0.500

***

4.
This entry pairs a crystal structure of PrNd2SmEr5 with its calculated X-ray powder pattern. Radiation: Cu Kα X-rays. Structure: a crystal structure in Alexandria, relaxed with GGA-PBE.
Kinematic intensities with the Lorentz-polarization factor, no thermal factor.

Largest 8 diffraction maxima, by intensity, 2θ from 10° to 80°:
2theta, I/Imax
30.9, 100
29.0, 51
28.7, 47
52.5, 22
43.1, 20
37.6, 16
56.0, 13
32.5, 13

Crystal structure
Cell: 9.906 9.906 9.906 Å, 127.77 127.77 76.99°
Atoms (fractional coordinates):
Pr 0.250 0.250 0.000
Pr 0.750 0.750 0.000
Nd 0.117 0.617 0.734
Nd 0.383 0.117 0.500
Nd 0.617 0.883 0.500
Nd 0.883 0.383 0.266
Sm 0.250 0.750 0.500
Sm 0.750 0.250 0.500
Er 0.000 0.000 0.000
Er 0.072 0.153 0.500
Er 0.153 0.653 0.081
Er 0.347 0.428 0.500
Er 0.428 0.928 0.081
Er 0.500 0.500 0.000
Er 0.572 0.072 0.919
Er 0.653 0.572 0.500
Er 0.847 0.347 0.919
Er 0.928 0.847 0.500

***

Which formula does entry 3 have? Tb6Se8I

***

What is the formula in the fourth record? PrNd2SmEr5